1.
Hf2Sc3Si4: computed X-ray diffraction stick pattern (Cu Ka), based on a cell relaxed with GGA-PBE.
No peak broadening, texture or thermal motion is included.

Cell and atoms:
```
Hf2Sc3Si4
1.0
7.177 0.000 0.000
0.000 7.177 0.000
0.000 0.000 12.966
Hf Sc Si
8 12 16
Cartesian
0.008 1.021 1.602
1.021 0.008 11.365
2.567 3.597 4.843
3.580 4.610 1.640
3.597 2.567 8.123
4.610 3.580 11.326
6.155 7.168 4.882
7.168 6.155 8.085
0.039 4.673 2.792
1.085 3.550 12.516
1.273 1.273 6.483
2.316 4.861 9.725
2.504 7.138 3.692
3.550 1.085 0.450
3.627 6.092 6.933
4.673 0.039 10.175
4.861 2.316 3.242
5.904 5.904 0.000
6.092 3.627 6.033
7.138 2.504 9.275
0.371 2.153 4.065
1.061 5.691 5.539
1.435 3.959 7.307
1.486 6.116 0.944
2.102 2.528 2.298
2.153 0.371 8.901
2.528 2.102 10.669
3.217 5.742 12.142
3.959 1.435 5.659
4.649 5.074 4.185
5.023 6.806 2.418
5.074 4.649 8.781
5.691 1.061 7.427
5.742 3.217 0.824
6.116 1.486 12.023
6.806 5.023 10.549
```

Largest 10 diffraction maxima, sorted by position, 2θ from 10° to 90°:
- 2θ = 17.48°, 5.075 Å, intensity 65
- 2θ = 18.78°, 4.726 Å, intensity 88
- 2θ = 27.10°, 3.290 Å, intensity 42
- 2θ = 28.43°, 3.140 Å, intensity 54
- 2θ = 32.78°, 2.732 Å, intensity 62
- 2θ = 36.07°, 2.490 Å, intensity 100
- 2θ = 39.00°, 2.309 Å, intensity 64
- 2θ = 42.19°, 2.142 Å, intensity 66
- 2θ = 52.95°, 1.729 Å, intensity 42
- 2θ = 59.02°, 1.565 Å, intensity 38

=====

2.
NdSm7Sc2: computed X-ray diffraction stick pattern (Cu Ka), based on a cell relaxed with GGA-PBE.
No peak broadening, texture or thermal motion is included.

Cell and atoms:
```
NdSm7Sc2
1.0
4.471 -7.663 0.000
4.471 7.663 0.000
0.000 0.000 5.631
Nd Sm Sc
1 7 2
Cartesian
0.000 0.000 0.000
1.632 1.872 2.816
4.471 3.865 0.000
1.632 -1.872 2.816
4.471 0.000 2.816
7.310 1.872 2.816
4.471 -3.865 0.000
7.310 -1.872 2.816
4.471 3.108 2.816
4.471 -3.108 2.816
```

Largest 10 diffraction maxima, sorted by position, 2θ from 10° to 90°:
- 2θ = 15.74°, 5.631 Å, intensity 38
- 2θ = 19.54°, 4.543 Å, intensity 31
- 2θ = 25.44°, 3.502 Å, intensity 55
- 2θ = 25.56°, 3.485 Å, intensity 43
- 2θ = 28.17°, 3.168 Å, intensity 88
- 2θ = 30.73°, 2.909 Å, intensity 100
- 2θ = 31.78°, 2.816 Å, intensity 72
- 2θ = 34.55°, 2.596 Å, intensity 76
- 2θ = 34.80°, 2.578 Å, intensity 51
- 2θ = 44.80°, 2.023 Å, intensity 75

=====

3.
PrMg2Zn9: computed X-ray diffraction stick pattern (Cu Ka), based on a cell relaxed with GGA-PBE.
No peak broadening, texture or thermal motion is included.

Cell and atoms:
```
PrMg2Zn9
1.0
2.675 1.544 8.427
-2.675 1.544 8.427
0.000 -3.088 8.427
Pr Mg Zn
1 2 9
Cartesian
0.000 0.000 0.000
0.000 0.000 3.576
0.000 0.000 21.704
-1.361 -0.786 10.599
0.000 0.000 8.435
0.000 -1.571 14.681
-1.361 0.786 14.681
0.000 0.000 12.640
1.361 -0.786 10.599
0.000 1.571 10.599
0.000 0.000 16.845
1.361 0.786 14.681
```

Largest 10 diffraction maxima, sorted by position, 2θ from 10° to 90°:
- 2θ = 10.50°, 8.427 Å, intensity 30
- 2θ = 23.82°, 3.736 Å, intensity 23
- 2θ = 33.51°, 2.675 Å, intensity 20
- 2θ = 39.05°, 2.307 Å, intensity 30
- 2θ = 39.56°, 2.278 Å, intensity 21
- 2θ = 39.93°, 2.258 Å, intensity 100
- 2θ = 42.94°, 2.106 Å, intensity 51
- 2θ = 64.24°, 1.450 Å, intensity 23
- 2θ = 70.41°, 1.337 Å, intensity 22
- 2θ = 86.13°, 1.129 Å, intensity 23